Diffraction record for NiSO5. The X-ray diffraction stick pattern is calculated, not measured: it uses a cell relaxed with GGA+U and Cu Ka.
Lines closer than 0.1° are merged.

Largest 8 diffraction maxima, in order of rising 2θ, 2θ = 10–90°:
d/Å  I_rel
4.794  100
3.358  26
3.328  24
3.303  80
3.039  43
2.501  33
2.403  30
1.962  22

Atomic structure:
Unit cell a=5.2054 b=5.2054 c=7.3081 alpha=107.55 beta=107.55 gamma=97.83
Atoms (fractional coordinates):
Ni1 0.0000 0.0000 0.0000
Ni2 0.0000 0.0000 0.5000
S1 0.3408 0.6592 0.7500
S2 0.6592 0.3408 0.2500
O1 0.0793 0.9207 0.2500
O2 0.1338 0.6672 0.8543
O3 0.2772 0.3749 0.5982
O4 0.3328 0.8662 0.6457
O5 0.3749 0.2772 0.0982
O6 0.6251 0.7228 0.9018
O7 0.6672 0.1338 0.3543
O8 0.7228 0.6251 0.4018
O9 0.8662 0.3328 0.1457
O10 0.9207 0.0793 0.7500